[1]
C3S8: theoretical powder diffraction line list (Cu Kα X-rays), based on a crystal structure in the Materials Project, relaxed with GGA-PBE.
Lines closer than 0.1° are merged.

Structure:
```
data_C3S8
_cell_length_a 4.9979
_cell_length_b 9.3757
_cell_length_c 12.5623
_cell_angle_alpha 99.95
_cell_angle_beta 98.36
_cell_angle_gamma 90.59
_space_group_name_H-M_alt 'P 1'
_space_group_IT_number 1
loop_
_space_group_symop_operation_xyz
'x,y,z'
loop_
_atom_site_label
_atom_site_type_symbol
_atom_site_fract_x
_atom_site_fract_y
_atom_site_fract_z
C1 C 0.1305 0.4734 0.3119
C2 C 0.1584 0.2916 0.6830
C3 C 0.1940 0.3568 0.7911
C4 C 0.8060 0.6432 0.2089
C5 C 0.8416 0.7084 0.3170
C6 C 0.8695 0.5266 0.6881
S1 S 0.0225 0.5162 0.8205
S2 S 0.0539 0.6213 0.4061
S3 S 0.1211 0.9658 0.6729
S4 S 0.2036 0.1203 0.9281
S5 S 0.3139 0.1352 0.6249
S6 S 0.3275 0.3427 0.3434
S7 S 0.3358 0.9490 0.8239
S8 S 0.4030 0.3016 0.9008
S9 S 0.5970 0.6984 0.0992
S10 S 0.6642 0.0510 0.1761
S11 S 0.6725 0.6573 0.6566
S12 S 0.6861 0.8648 0.3751
S13 S 0.7964 0.8797 0.0719
S14 S 0.8789 0.0342 0.3271
S15 S 0.9461 0.3787 0.5939
S16 S 0.9775 0.4838 0.1795
```

Top 10 peaks for 2θ = 5–70°, by angle:
2theta	intensity
12.99	49
14.48	45
18.33	97
20.41	61
20.70	100
21.72	43
22.65	43
27.56	82
29.20	43
30.54	45

---

[2]
SbPH4O4F6: theoretical powder diffraction line list (Cu Kα X-rays), based on a crystal structure in the Materials Project, relaxed with GGA-PBE.
Lines closer than 0.1° are merged.

Structure:
```
data_SbPH4O4F6
_cell_length_a 5.1712
_cell_length_b 5.1712
_cell_length_c 14.3161
_cell_angle_alpha 93.73
_cell_angle_beta 93.73
_cell_angle_gamma 98.09
_space_group_name_H-M_alt 'P 1'
_space_group_IT_number 1
loop_
_space_group_symop_operation_xyz
'x,y,z'
loop_
_atom_site_label
_atom_site_type_symbol
_atom_site_fract_x
_atom_site_fract_y
_atom_site_fract_z
Sb1 Sb 0.0000 0.0000 0.0000
Sb2 Sb 0.0000 0.0000 0.5000
P1 P 0.3750 0.6250 0.7500
P2 P 0.6250 0.3750 0.2500
H1 H 0.0041 0.5971 0.3031
H2 H 0.4029 0.9959 0.1969
H3 H 0.4137 0.5024 0.8935
H4 H 0.4976 0.5863 0.6065
H5 H 0.5024 0.4137 0.3935
H6 H 0.5863 0.4976 0.1065
H7 H 0.5971 0.0041 0.8031
H8 H 0.9959 0.4029 0.6969
O1 O 0.0719 0.5690 0.7340
O2 O 0.4310 0.9281 0.7660
O3 O 0.4874 0.4927 0.3330
O4 O 0.4927 0.4874 0.8330
O5 O 0.5073 0.5126 0.1670
O6 O 0.5126 0.5073 0.6670
O7 O 0.5690 0.0719 0.2340
O8 O 0.9281 0.4310 0.2660
F1 F 0.0892 0.8757 0.3768
F2 F 0.1221 0.7000 0.9425
F3 F 0.1243 0.9108 0.1232
F4 F 0.2077 0.3310 0.4860
F5 F 0.3000 0.8779 0.5575
F6 F 0.3310 0.2077 0.9860
F7 F 0.6690 0.7923 0.0140
F8 F 0.7000 0.1221 0.4425
F9 F 0.7923 0.6690 0.5140
F10 F 0.8757 0.0892 0.8768
F11 F 0.8779 0.3000 0.0575
F12 F 0.9108 0.1243 0.6232
```

Top 10 peaks for 2θ = 5–70°, by angle:
2theta	intensity
12.43	64
17.37	49
20.63	100
22.17	87
22.77	23
25.00	34
26.02	44
26.43	35
35.17	25
44.67	23

---

[3]
As2Se3: theoretical powder diffraction line list (Cu Kα X-rays), based on a crystal structure in the Materials Project, relaxed with GGA-PBE.
Lines closer than 0.1° are merged.

Structure:
```
data_As2Se3
_cell_length_a 4.5050
_cell_length_b 10.9676
_cell_length_c 12.9154
_cell_angle_alpha 90.00
_cell_angle_beta 110.01
_cell_angle_gamma 90.00
_space_group_name_H-M_alt 'P 1'
_space_group_IT_number 1
loop_
_space_group_symop_operation_xyz
'x,y,z'
loop_
_atom_site_label
_atom_site_type_symbol
_atom_site_fract_x
_atom_site_fract_y
_atom_site_fract_z
As1 As 0.1021 0.1821 0.4834
As2 As 0.1021 0.3179 0.9834
As3 As 0.3777 0.1951 0.7631
As4 As 0.3777 0.3049 0.2631
As5 As 0.6223 0.6951 0.7369
As6 As 0.6223 0.8049 0.2369
As7 As 0.8979 0.6821 0.0166
As8 As 0.8979 0.8179 0.5166
Se1 Se 0.1268 0.6263 0.5976
Se2 Se 0.1268 0.8737 0.0976
Se3 Se 0.3131 0.1096 0.3415
Se4 Se 0.3131 0.3904 0.8415
Se5 Se 0.4487 0.7119 0.3805
Se6 Se 0.4487 0.7881 0.8805
Se7 Se 0.5513 0.2119 0.1195
Se8 Se 0.5513 0.2881 0.6195
Se9 Se 0.6869 0.6096 0.1585
Se10 Se 0.6869 0.8904 0.6585
Se11 Se 0.8732 0.1263 0.9024
Se12 Se 0.8732 0.3737 0.4024
```

Top 10 peaks for 2θ = 5–70°, by angle:
2theta	intensity
16.16	100
22.55	27
28.50	49
29.51	48
29.62	72
30.70	29
30.91	58
46.02	46
47.12	18
51.02	18

---

[4]
LuTe: theoretical powder diffraction line list (Cu Kα X-rays), based on a crystal structure in the Materials Project, relaxed with GGA-PBE.
Lines closer than 0.1° are merged.

Structure:
```
data_LuTe
_cell_length_a 4.2747
_cell_length_b 4.2747
_cell_length_c 4.2747
_cell_angle_alpha 60.00
_cell_angle_beta 60.00
_cell_angle_gamma 60.00
_space_group_name_H-M_alt 'P 1'
_space_group_IT_number 1
loop_
_space_group_symop_operation_xyz
'x,y,z'
loop_
_atom_site_label
_atom_site_type_symbol
_atom_site_fract_x
_atom_site_fract_y
_atom_site_fract_z
Lu1 Lu 0.0000 0.0000 0.0000
Te1 Te 0.5000 0.5000 0.5000
```

Top 8 peaks for 2θ = 5–70°, by angle:
2theta	intensity
25.52	5
29.55	100
42.29	76
50.04	3
52.43	27
61.34	13
67.54	1
69.54	35

---

[5]
HfAlPt2: theoretical powder diffraction line list (Cu Kα X-rays), based on a crystal structure in the Materials Project, relaxed with GGA-PBE.
Lines closer than 0.1° are merged.

Structure:
```
data_HfAlPt2
_cell_length_a 4.5693
_cell_length_b 4.5693
_cell_length_c 7.9392
_cell_angle_alpha 90.00
_cell_angle_beta 90.00
_cell_angle_gamma 120.00
_space_group_name_H-M_alt 'P 1'
_space_group_IT_number 1
loop_
_space_group_symop_operation_xyz
'x,y,z'
loop_
_atom_site_label
_atom_site_type_symbol
_atom_site_fract_x
_atom_site_fract_y
_atom_site_fract_z
Hf1 Hf 0.0000 0.0000 0.0000
Hf2 Hf 0.0000 0.0000 0.5000
Al1 Al 0.3333 0.6667 0.2500
Al2 Al 0.6667 0.3333 0.7500
Pt1 Pt 0.3333 0.6667 0.5816
Pt2 Pt 0.3333 0.6667 0.9184
Pt3 Pt 0.6667 0.3333 0.0816
Pt4 Pt 0.6667 0.3333 0.4184
```

Top 10 peaks for 2θ = 5–70°, by angle:
2theta	intensity
22.40	51
25.15	36
31.93	8
39.44	100
41.03	66
45.83	47
47.35	7
51.51	17
58.22	24
66.77	10

---

[6]
LaNb2O7: theoretical powder diffraction line list (Cu Kα X-rays), based on a crystal structure in the Materials Project, relaxed with GGA-PBE.
Lines closer than 0.1° are merged.

Structure:
```
data_LaNb2O7
_cell_length_a 3.9354
_cell_length_b 3.9354
_cell_length_c 10.6105
_cell_angle_alpha 90.00
_cell_angle_beta 90.00
_cell_angle_gamma 90.00
_space_group_name_H-M_alt 'P 1'
_space_group_IT_number 1
loop_
_space_group_symop_operation_xyz
'x,y,z'
loop_
_atom_site_label
_atom_site_type_symbol
_atom_site_fract_x
_atom_site_fract_y
_atom_site_fract_z
La1 La 0.0000 0.0000 0.0000
Nb1 Nb 0.5000 0.5000 0.2205
Nb2 Nb 0.5000 0.5000 0.7795
O1 O 0.0000 0.5000 0.1695
O2 O 0.0000 0.5000 0.8305
O3 O 0.5000 0.0000 0.1695
O4 O 0.5000 0.0000 0.8305
O5 O 0.5000 0.5000 0.0000
O6 O 0.5000 0.5000 0.3856
O7 O 0.5000 0.5000 0.6144
```

Top 10 peaks for 2θ = 5–70°, by angle:
2theta	intensity
8.33	100
24.12	11
28.23	54
32.17	22
34.08	16
46.13	15
47.35	13
54.37	9
54.97	17
64.59	7

---

[7]
Pr2Al2Ge: theoretical powder diffraction line list (Cu Kα X-rays), based on a crystal structure in the Materials Project, relaxed with GGA-PBE.
Lines closer than 0.1° are merged.

Structure:
```
data_Pr2Al2Ge
_cell_length_a 13.6401
_cell_length_b 13.6401
_cell_length_c 4.5120
_cell_angle_alpha 90.00
_cell_angle_beta 90.00
_cell_angle_gamma 162.56
_space_group_name_H-M_alt 'P 1'
_space_group_IT_number 1
loop_
_space_group_symop_operation_xyz
'x,y,z'
loop_
_atom_site_label
_atom_site_type_symbol
_atom_site_fract_x
_atom_site_fract_y
_atom_site_fract_z
Pr1 Pr 0.0742 0.9258 0.7500
Pr2 Pr 0.2957 0.7043 0.2500
Pr3 Pr 0.7043 0.2957 0.7500
Pr4 Pr 0.9258 0.0742 0.2500
Al1 Al 0.3812 0.6188 0.7500
Al2 Al 0.4764 0.5236 0.7500
Al3 Al 0.5236 0.4764 0.2500
Al4 Al 0.6188 0.3812 0.2500
Ge1 Ge 0.1750 0.8250 0.2500
Ge2 Ge 0.8250 0.1750 0.7500
```

Top 10 peaks for 2θ = 5–70°, by angle:
2theta	intensity
6.56	25
26.44	27
27.17	30
28.02	24
30.97	100
33.18	38
33.77	20
37.05	24
39.96	28
43.78	21